For Ca3MgP, the PBE geometry in Alexandria gives the calculated X-ray powder pattern in this record (λ = 1.5418 Å (Cu Kα)).
Kinematic intensities with the Lorentz-polarization factor, no thermal factor.

Principal peaks in the range 2θ = 5–70°, in order of rising 2θ:
2theta	d/Å	intensity
16.95	5.230	35.5
27.10	3.291	52.8
27.67	3.224	100.0
32.87	2.725	42.8
34.29	2.615	62.3
34.52	2.598	21.7
36.11	2.487	26.1
36.77	2.444	34.3
42.14	2.144	19.7
44.62	2.031	16.9
44.98	2.015	29.0
54.60	1.681	15.4

Atomic structure:
```
Ca3MgP
1.0
4.234 2.444 4.974
-4.234 2.444 4.974
0.000 -4.889 4.974
Ca Mg P
6 2 2
direct
0.098 0.271 0.632 Ca
0.132 0.771 0.598 Ca
0.271 0.632 0.098 Ca
0.598 0.132 0.771 Ca
0.632 0.098 0.271 Ca
0.771 0.598 0.132 Ca
0.143 0.143 0.143 Mg
0.643 0.643 0.643 Mg
0.451 0.451 0.451 P
0.951 0.951 0.951 P
```

---

For CaMg3Pb3, the PBE geometry in Alexandria gives the calculated X-ray powder pattern in this record (λ = 1.5418 Å (Cu Kα)).
Kinematic intensities with the Lorentz-polarization factor, no thermal factor.

Principal peaks in the range 2θ = 5–70°, in order of rising 2θ:
2theta	d/Å	intensity
12.33	7.178	28.9
22.93	3.878	23.8
24.81	3.589	42.6
26.12	3.412	14.0
28.60	3.121	13.2
34.02	2.635	100.0
36.72	2.447	16.2
41.38	2.182	11.6
50.89	1.794	12.4
56.51	1.629	10.4
60.83	1.523	14.2
64.42	1.446	11.7

Atomic structure:
```
CaMg3Pb3
1.0
4.895 -5.278 0.000
4.895 5.278 0.000
0.000 0.000 7.756
Ca Mg Pb
2 6 6
direct
0.214 0.214 0.000 Ca
0.786 0.786 0.000 Ca
0.213 0.787 0.500 Mg
0.229 0.229 0.500 Mg
0.271 0.729 0.000 Mg
0.729 0.271 0.000 Mg
0.771 0.771 0.500 Mg
0.787 0.213 0.500 Mg
0.000 0.500 0.259 Pb
0.000 0.500 0.741 Pb
0.500 0.000 0.259 Pb
0.500 0.000 0.741 Pb
0.500 0.500 0.268 Pb
0.500 0.500 0.732 Pb
```

---

For Ca3MgPb2, the PBE geometry in Alexandria gives the calculated X-ray powder pattern in this record (λ = 1.5418 Å (Cu Kα)).
Kinematic intensities with the Lorentz-polarization factor, no thermal factor.

Principal peaks in the range 2θ = 5–70°, in order of rising 2θ:
2theta	d/Å	intensity
21.39	4.154	100.0
21.95	4.049	27.3
25.89	3.441	24.7
26.18	3.404	24.7
34.20	2.622	34.6
34.42	2.605	34.3
37.15	2.420	34.2
38.18	2.357	39.3
43.08	2.100	18.2
43.45	2.083	17.2
43.57	2.077	19.2
60.26	1.536	17.7

Atomic structure:
```
Ca3MgPb2
1.0
-3.441 8.097 3.404
3.441 -8.097 3.404
3.441 8.097 -3.404
Ca Mg Pb
6 2 4
direct
0.176 0.724 0.899 Ca
0.250 0.250 0.000 Ca
0.324 0.224 0.548 Ca
0.676 0.776 0.452 Ca
0.750 0.750 0.000 Ca
0.824 0.276 0.101 Ca
0.250 0.750 0.500 Mg
0.750 0.250 0.500 Mg
0.125 0.255 0.380 Pb
0.375 0.755 0.130 Pb
0.625 0.245 0.870 Pb
0.875 0.745 0.620 Pb
```